The following is a computed PXRD pattern of Zn3Fe8CoO16. It was derived from a crystal structure in Alexandria, relaxed with GGA+U, using Cu Kα X-rays.

Atomic structure:
```
data_Zn3Fe8CoO16
_symmetry_space_group_name_H-M 'P -4 m 2'
_symmetry_Int_Tables_number 115
_cell_length_a 5.884
_cell_length_b 5.884
_cell_length_c 8.205
_cell_angle_alpha 90.00
_cell_angle_beta 90.00
_cell_angle_gamma 90.00
loop_
_symmetry_equiv_pos_as_xyz
'x,y,z'
'y,-x,-z'
'-x,-y,z'
'-y,x,-z'
'-x,y,z'
'-y,-x,-z'
'x,-y,z'
'y,x,-z'
loop_
_atom_site_label
_atom_site_fract_x
_atom_site_fract_y
_atom_site_fract_z
Zn1 0.000 0.000 0.000
Zn2 0.000 0.500 0.751
Fe1 0.000 0.250 0.375
Fe2 0.250 0.500 0.125
Co1 0.500 0.500 0.500
O1 0.000 0.222 0.613
O2 0.000 0.278 0.137
O3 0.224 0.500 0.364
O4 0.278 0.500 0.887
```

Largest 12 diffraction maxima, by angle, 10 to 90 degrees two-theta:
- 30.38°, d 2.942, I = 18.1, (2 0 0)
- 30.60°, d 2.921, I = 35.2, (1 1 2)
- 35.84°, d 2.506, I = 100.0, (2 1 1)
- 36.22°, d 2.480, I = 49.9, (1 0 3)
- 37.62°, d 2.391, I = 12.1, (2 0 2)
- 43.50°, d 2.080, I = 14.8, (2 2 0)
- 54.12°, d 1.695, I = 12.2, (3 1 2)
- 57.59°, d 1.601, I = 32.4, (3 2 1)
- 58.38°, d 1.581, I = 15.2, (1 0 5)
- 63.21°, d 1.471, I = 21.5, (4 0 0)
- 63.71°, d 1.461, I = 42.1, (2 2 4)
- 75.08°, d 1.265, I = 10.5, (4 1 3)